[1]
Diffraction record for Nb3O7F. The XRD peak list is simulated, not measured: it uses a PBE-relaxed structure and Cu Kα X-rays.
Peak positions follow from Bragg's law for the DFT cell and can differ from measured ones.

Most intense lines, 2θ from 5° to 70°, in order of rising 2θ:
2θ/deg	intensity
20.19	100
23.56	96
23.76	39
27.76	40
27.99	30
28.40	21
33.21	51
46.75	23
48.88	25
53.27	21
57.50	22
69.96	14

Crystal structure
Cell: 16.029 10.523 3.886 Å, 90.00 90.00 90.00°
Sites, in units of the cell vectors:
Nb 0.036 0.250 0.045
Nb 0.167 0.551 0.002
Nb 0.167 0.949 0.002
Nb 0.333 0.051 0.501
Nb 0.333 0.449 0.501
Nb 0.464 0.750 0.545
Nb 0.536 0.250 0.455
Nb 0.667 0.551 0.498
Nb 0.667 0.949 0.498
Nb 0.833 0.051 0.998
Nb 0.833 0.449 0.998
Nb 0.964 0.750 0.955
O 0.029 0.250 0.516
O 0.064 0.625 0.992
O 0.064 0.875 0.992
O 0.120 0.113 0.009
O 0.120 0.387 0.009
O 0.203 0.543 0.503
O 0.203 0.957 0.503
O 0.297 0.043 0.003
O 0.297 0.457 0.003
O 0.380 0.613 0.509
O 0.380 0.887 0.509
O 0.436 0.125 0.492
O 0.436 0.375 0.492
O 0.471 0.750 0.016
O 0.529 0.250 0.984
O 0.564 0.625 0.508
O 0.564 0.875 0.508
O 0.620 0.113 0.491
O 0.620 0.387 0.491
O 0.703 0.543 0.997
O 0.703 0.957 0.997
O 0.797 0.043 0.497
O 0.797 0.457 0.497
O 0.880 0.613 0.991
O 0.880 0.887 0.991
O 0.936 0.125 0.008
O 0.936 0.375 0.008
O 0.971 0.750 0.484
F 0.213 0.750 0.005
F 0.287 0.250 0.505
F 0.713 0.750 0.495
F 0.787 0.250 0.995

[2]
Diffraction record for Nb3Pb2O8F4. The XRD peak list is simulated, not measured: it uses a PBE-relaxed structure and Cu Kα X-rays.
Peak positions follow from Bragg's law for the DFT cell and can differ from measured ones.

Most intense lines, 2θ from 5° to 70°, in order of rising 2θ:
2θ/deg	intensity
5.33	100
24.01	23
26.34	50
26.87	19
29.51	45
32.18	29
42.41	26
46.16	22
52.33	19
53.92	15
54.22	11
55.74	16

Crystal structure
Cell: 16.819 16.819 16.819 Å, 166.57 166.57 19.04°
Sites, in units of the cell vectors:
Nb 0.000 0.000 0.000
Nb 0.117 0.117 0.000
Nb 0.883 0.883 0.000
Pb 0.297 0.297 0.000
Pb 0.703 0.703 0.000
O 0.000 0.500 0.500
O 0.061 0.061 0.000
O 0.129 0.629 0.500
O 0.371 0.871 0.500
O 0.500 0.000 0.500
O 0.629 0.129 0.500
O 0.871 0.371 0.500
O 0.939 0.939 0.000
F 0.186 0.186 0.000
F 0.250 0.750 0.500
F 0.750 0.250 0.500
F 0.814 0.814 0.000

[3]
Diffraction record for Nb3Pb2O7F5. The XRD peak list is simulated, not measured: it uses a PBE-relaxed structure and Cu Kα X-rays.
Peak positions follow from Bragg's law for the DFT cell and can differ from measured ones.

Most intense lines, 2θ from 5° to 70°, in order of rising 2θ:
2θ/deg	intensity
5.27	100
23.83	11
26.12	24
26.53	40
29.24	20
29.59	20
32.27	27
42.27	23
45.81	11
46.09	12
46.78	13
53.72	12

Crystal structure
Cell: 17.010 17.010 17.010 Å, 166.88 166.63 18.77°
Sites, in units of the cell vectors:
Nb 0.000 0.000 0.000
Nb 0.115 0.115 0.000
Nb 0.235 0.235 0.000
Pb 0.425 0.425 0.000
Pb 0.830 0.830 0.000
O 0.055 0.055 0.000
O 0.123 0.623 0.500
O 0.183 0.183 0.000
O 0.246 0.746 0.500
O 0.488 0.988 0.500
O 0.622 0.122 0.500
O 0.987 0.487 0.500
F 0.303 0.303 0.000
F 0.371 0.871 0.500
F 0.747 0.247 0.500
F 0.871 0.371 0.500
F 0.932 0.932 0.000

[4]
Diffraction record for Rb5Nb3OF18. The XRD peak list is simulated, not measured: it uses a PBE-relaxed structure and Cu Kα X-rays.
Peak positions follow from Bragg's law for the DFT cell and can differ from measured ones.

Most intense lines, 2θ from 5° to 70°, in order of rising 2θ:
2θ/deg	intensity
16.75	34
22.30	30
23.13	72
25.01	85
25.17	84
25.76	100
27.47	51
32.48	32
39.64	29
40.31	28
41.32	32
47.31	41

Crystal structure
Cell: 11.877 11.877 11.877 Å, 96.47 96.47 140.77°
Sites, in units of the cell vectors:
Rb 0.000 0.500 0.500
Rb 0.049 0.189 0.693
Rb 0.189 0.495 0.140
Rb 0.356 0.049 0.860
Rb 0.495 0.356 0.307
Rb 0.500 0.000 0.500
Rb 0.549 0.856 0.860
Rb 0.689 0.549 0.693
Rb 0.856 0.995 0.307
Rb 0.995 0.689 0.140
Nb 0.004 0.004 0.000
Nb 0.081 0.893 0.500
Nb 0.393 0.581 0.500
Nb 0.504 0.504 0.000
Nb 0.581 0.081 0.188
Nb 0.893 0.393 0.812
O 0.230 0.230 0.000
O 0.730 0.730 0.000
F 0.018 0.858 0.930
F 0.058 0.558 0.981
F 0.059 0.936 0.659
F 0.077 0.058 0.500
F 0.088 0.018 0.160
F 0.115 0.785 0.390
F 0.129 0.358 0.500
F 0.129 0.629 0.791
F 0.226 0.896 0.610
F 0.277 0.401 0.341
F 0.285 0.615 0.390
F 0.338 0.129 0.500
F 0.358 0.518 0.930
F 0.358 0.858 0.229
F 0.396 0.726 0.610
F 0.401 0.059 0.123
F 0.428 0.358 0.840
F 0.436 0.559 0.659
F 0.518 0.588 0.160
F 0.558 0.577 0.500
F 0.559 0.901 0.123
F 0.577 0.077 0.019
F 0.588 0.428 0.070
F 0.615 0.226 0.330
F 0.629 0.129 0.771
F 0.629 0.838 0.500
F 0.726 0.115 0.330
F 0.777 0.436 0.877
F 0.785 0.396 0.670
F 0.838 0.338 0.209
F 0.858 0.629 0.500
F 0.858 0.928 0.840
F 0.896 0.285 0.670
F 0.901 0.777 0.341
F 0.928 0.088 0.070
F 0.936 0.277 0.877

[5]
Diffraction record for NbSeOF7. The XRD peak list is simulated, not measured: it uses a PBE-relaxed structure and Cu Kα X-rays.
Peak positions follow from Bragg's law for the DFT cell and can differ from measured ones.

Most intense lines, 2θ from 5° to 70°, in order of rising 2θ:
2θ/deg	intensity
18.89	78
19.60	43
21.91	78
22.48	100
24.30	51
29.56	17
30.96	27
35.26	30
35.63	22
44.67	19
47.77	21
49.22	18

Crystal structure
Cell: 11.522 8.114 7.325 Å, 90.00 90.00 90.00°
Sites, in units of the cell vectors:
Nb 0.150 0.250 0.200
Nb 0.350 0.750 0.700
Nb 0.650 0.250 0.300
Nb 0.850 0.750 0.800
Se 0.002 0.750 0.235
Se 0.498 0.250 0.735
Se 0.502 0.750 0.265
Se 0.998 0.250 0.765
O 0.017 0.250 0.988
O 0.483 0.750 0.488
O 0.517 0.250 0.512
O 0.983 0.750 0.012
F 0.018 0.250 0.361
F 0.095 0.093 0.700
F 0.095 0.407 0.700
F 0.137 0.012 0.189
F 0.137 0.488 0.189
F 0.237 0.750 0.884
F 0.243 0.750 0.501
F 0.257 0.250 0.001
F 0.263 0.250 0.384
F 0.363 0.512 0.689
F 0.363 0.988 0.689
F 0.405 0.593 0.200
F 0.405 0.907 0.200
F 0.482 0.750 0.861
F 0.518 0.250 0.139
F 0.595 0.093 0.800
F 0.595 0.407 0.800
F 0.637 0.012 0.311
F 0.637 0.488 0.311
F 0.737 0.750 0.616
F 0.743 0.750 0.999
F 0.757 0.250 0.499
F 0.763 0.250 0.116
F 0.863 0.512 0.811
F 0.863 0.988 0.811
F 0.905 0.593 0.300
F 0.905 0.907 0.300
F 0.982 0.750 0.639

[6]
Diffraction record for TiNbTlO4F2. The XRD peak list is simulated, not measured: it uses a PBE-relaxed structure and Cu Kα X-rays.
Peak positions follow from Bragg's law for the DFT cell and can differ from measured ones.

Most intense lines, 2θ from 5° to 70°, in order of rising 2θ:
2θ/deg	intensity
14.48	15
14.61	24
23.57	26
23.68	35
24.17	26
27.41	34
27.63	32
28.26	100
28.47	30
29.47	37
38.66	14
44.43	15

Crystal structure
Cell: 7.364 7.364 7.453 Å, 119.02 119.02 90.22°
Sites, in units of the cell vectors:
Ti 0.245 0.755 0.500
Ti 0.755 0.245 0.000
Nb 0.227 0.244 0.475
Nb 0.244 0.227 0.975
Tl 0.659 0.981 0.313
Tl 0.981 0.659 0.813
O 0.176 0.922 0.728
O 0.178 0.315 0.736
O 0.196 0.937 0.379
O 0.298 0.554 0.588
O 0.315 0.178 0.236
O 0.554 0.298 0.088
O 0.922 0.176 0.228
O 0.937 0.196 0.879
F 0.314 0.570 0.239
F 0.562 0.931 0.735
F 0.570 0.314 0.739
F 0.931 0.562 0.235

[7]
Diffraction record for Rb3NbF12. The XRD peak list is simulated, not measured: it uses a PBE-relaxed structure and Cu Kα X-rays.
Peak positions follow from Bragg's law for the DFT cell and can differ from measured ones.

Most intense lines, 2θ from 5° to 70°, in order of rising 2θ:
2θ/deg	intensity
12.20	29
13.06	100
22.15	15
24.55	22
25.29	22
26.30	36
35.01	21
35.53	28
37.52	16
45.18	15
52.99	8
58.22	8

Crystal structure
Cell: 8.040 8.040 7.275 Å, 92.10 92.10 122.35°
Sites, in units of the cell vectors:
Rb 0.000 0.000 0.000
Rb 0.000 0.500 0.500
Rb 0.500 0.000 0.500
Nb 0.000 0.000 0.500
F 0.055 0.227 0.683
F 0.083 0.248 0.355
F 0.105 0.586 0.012
F 0.227 0.055 0.683
F 0.248 0.083 0.355
F 0.414 0.895 0.988
F 0.586 0.105 0.012
F 0.752 0.917 0.645
F 0.773 0.945 0.317
F 0.895 0.414 0.988
F 0.917 0.752 0.645
F 0.945 0.773 0.317

[8]
Diffraction record for Rb3NbF6. The XRD peak list is simulated, not measured: it uses a PBE-relaxed structure and Cu Kα X-rays.
Peak positions follow from Bragg's law for the DFT cell and can differ from measured ones.

Most intense lines, 2θ from 5° to 70°, in order of rising 2θ:
2θ/deg	intensity
16.10	2
18.61	3
26.44	100
32.52	4
37.73	40
42.39	1
46.66	40
49.68	1
54.43	25
61.50	20
64.85	1
68.12	8

Crystal structure
Cell: 6.743 6.743 6.743 Å, 60.00 60.00 60.00°
Sites, in units of the cell vectors:
Rb 0.000 0.000 0.000
Rb 0.250 0.250 0.250
Rb 0.750 0.750 0.750
Nb 0.500 0.500 0.500
F 0.279 0.279 0.721
F 0.279 0.721 0.279
F 0.279 0.721 0.721
F 0.721 0.279 0.279
F 0.721 0.279 0.721
F 0.721 0.721 0.279

[9]
Diffraction record for Rb2NbF6. The XRD peak list is simulated, not measured: it uses a PBE-relaxed structure and Cu Kα X-rays.
Peak positions follow from Bragg's law for the DFT cell and can differ from measured ones.

Most intense lines, 2θ from 5° to 70°, in order of rising 2θ:
2θ/deg	intensity
16.25	7
24.81	100
28.34	64
38.01	77
41.34	26
48.09	29
50.18	13
50.88	23
58.63	20
59.27	21
64.64	14
65.84	14

Crystal structure
Cell: 6.298 6.298 4.766 Å, 90.00 90.00 120.00°
Sites, in units of the cell vectors:
Rb 0.333 0.667 0.199
Rb 0.667 0.333 0.801
Nb 0.000 0.000 0.500
F 0.159 0.318 0.717
F 0.159 0.841 0.717
F 0.318 0.159 0.283
F 0.682 0.841 0.717
F 0.841 0.159 0.283
F 0.841 0.682 0.283

[10]
Diffraction record for NbSbF10. The XRD peak list is simulated, not measured: it uses a PBE-relaxed structure and Cu Kα X-rays.
Peak positions follow from Bragg's law for the DFT cell and can differ from measured ones.

Most intense lines, 2θ from 5° to 70°, in order of rising 2θ:
2θ/deg	intensity
11.88	41
18.49	48
18.66	100
21.62	73
22.13	39
22.97	57
25.32	49
25.71	26
26.70	34
39.75	31
43.97	26
45.43	23

Crystal structure
Cell: 5.793 7.553 9.903 Å, 87.67 73.70 80.59°
Sites, in units of the cell vectors:
Nb 0.162 0.379 0.221
Nb 0.838 0.621 0.779
Sb 0.465 0.234 0.685
Sb 0.535 0.766 0.315
F 0.003 0.221 0.158
F 0.071 0.335 0.414
F 0.191 0.550 0.075
F 0.193 0.446 0.712
F 0.242 0.083 0.675
F 0.261 0.947 0.336
F 0.330 0.581 0.301
F 0.385 0.226 0.884
F 0.460 0.711 0.509
F 0.474 0.249 0.168
F 0.526 0.751 0.832
F 0.540 0.289 0.491
F 0.615 0.774 0.116
F 0.670 0.419 0.699
F 0.739 0.053 0.664
F 0.758 0.917 0.325
F 0.807 0.554 0.288
F 0.809 0.450 0.925
F 0.929 0.665 0.586
F 0.997 0.779 0.842